[1]
For GdGeRh, a crystal structure in the Materials Project, relaxed with PBE gives the computed powder X-ray diffraction pattern in this record (λ = 1.5418 Å (Cu Kα)).
Intensities are scaled so that the largest is 100.

Largest 10 diffraction maxima, by angle, 10° ≤ 2θ ≤ 90°:
2θ = 33.8°, d 2.651, I = 46.0; 2θ = 34.9°, d 2.571, I = 100.0; 2θ = 37.8°, d 2.381, I = 12.7; 2θ = 40.4°, d 2.232, I = 19.8; 2θ = 41.2°, d 2.189, I = 38.0; 2θ = 41.4°, d 2.181, I = 30.7; 2θ = 55.2°, d 1.664, I = 13.9; 2θ = 58.0°, d 1.589, I = 14.0; 2θ = 59.2°, d 1.560, I = 12.7; 2θ = 67.1°, d 1.396, I = 20.3

Atomic structure:
Unit cell a=7.004 b=4.361 c=7.595 alpha=90.00 beta=90.00 gamma=90.00
Space group Pnma (No. 62)
One atom of each set of equivalent atoms:
Gd 0.001 0.250 0.199 (multiplicity 4)
Ge 0.211 0.750 0.401 (multiplicity 4)
Rh 0.160 0.250 0.572 (multiplicity 4)

[2]
For BaEuNbInO6, a crystal structure in the Materials Project, relaxed with PBE gives the computed powder X-ray diffraction pattern in this record (λ = 1.5418 Å (Cu Kα)).
Intensities are scaled so that the largest is 100.

Largest 10 diffraction maxima, by angle, 10° ≤ 2θ ≤ 90°:
2θ = 30.5°, d 2.935, I = 100.0; 2θ = 35.9°, d 2.503, I = 0.6; 2θ = 37.5°, d 2.396, I = 5.1; 2θ = 43.6°, d 2.075, I = 29.9; 2θ = 54.1°, d 1.695, I = 39.7; 2θ = 63.4°, d 1.468, I = 18.4; 2θ = 71.9°, d 1.313, I = 17.3; 2θ = 76.0°, d 1.252, I = 1.5; 2θ = 80.1°, d 1.198, I = 6.1; 2θ = 88.0°, d 1.109, I = 21.2

Atomic structure:
Unit cell a=8.302 b=8.302 c=8.302 alpha=90.00 beta=90.00 gamma=90.00
Space group F-43m (No. 216)
One atom of each set of equivalent atoms:
Ba 0.000 0.000 0.000 (multiplicity 4)
Eu 0.000 0.000 0.500 (multiplicity 4)
Nb 0.250 0.250 0.250 (multiplicity 4)
In 0.250 0.250 0.750 (multiplicity 4)
O 0.009 0.250 0.250 (multiplicity 24)

> What is the formula in the second record?

BaEuNbInO6